Computed powder diffractogram
Compound: Ba4Fe2MoWO12
Radiation: copper Kα
Structure: a DFT-relaxed cell (PBE+U, Alexandria)

Structural model:
```
data_Ba4Fe2MoWO12
_symmetry_space_group_name_H-M 'R -3 m'
_symmetry_Int_Tables_number 166
_symmetry_space_group_name_Hall '-R 3 2"'
_cell_length_a 5.8091
_cell_length_b 5.8091
_cell_length_c 28.3874
_cell_angle_alpha 90.00
_cell_angle_beta 90.00
_cell_angle_gamma 120.00
loop_
_atom_site_label
_atom_site_type_symbol
_atom_site_fract_x
_atom_site_fract_y
_atom_site_fract_z
_atom_site_occupancy
Ba1 Ba 0.0000 0.0000 0.1231 1
Ba2 Ba 0.0000 0.0000 0.3737 1
Fe1 Fe 0.0000 0.0000 0.2523 1
Mo1 Mo 0.0000 0.0000 0.0000 1
W1 W 0.0000 0.0000 0.5000 1
O1 O 0.0022 0.5011 0.6256 1
O2 O 0.0125 0.5062 0.1269 1
```

Principal peaks in the range 2θ from 10° to 80°, in order of rising 2θ:
18.72°, I 9, hkl 0 1 2; 30.81°, I 100, hkl 1 1 0; 36.30°, I 4, hkl 1 0 10; 37.97°, I 5, hkl 0 2 4; 44.13°, I 31, hkl 2 0 8; 54.76°, I 30, hkl 3 0 0; 54.87°, I 10, hkl 1 0 16; 64.12°, I 9, hkl 2 2 0; 64.24°, I 9, hkl 0 2 16; 72.88°, I 17, hkl 3 1 8